Diffraction record for PrVTeO2. The XRD peak list is simulated, not measured: it uses a DFT-relaxed cell (PBE+U, Alexandria) and Cu Kα X-rays.

Top 10 peaks for 10° ≤ 2θ ≤ 80°, in order of rising 2θ:
2θ (°)  Rel. int.
17.52  8.8
21.50  12.6
31.36  100.0
32.38  20.5
32.62  19.9
46.63  21.7
55.01  8.7
55.16  8.7
57.12  17.6
57.42  17.4

Cell lengths 6.8642, 6.8642, 5.4898 Å; angles 90.00, 90.00, 132.50 degrees
Sites, in units of the cell vectors:
Pr1 0.1053 0.8947 0.7500
Pr2 0.8947 0.1053 0.2500
V1 0.4375 0.5625 0.7500
V2 0.5625 0.4375 0.2500
Te1 0.2456 0.7544 0.2500
Te2 0.7544 0.2456 0.7500
O1 0.2717 0.2717 0.0000
O2 0.2717 0.2717 0.5000
O3 0.7283 0.7283 0.0000
O4 0.7283 0.7283 0.5000